Simulated X-ray diffraction stick pattern
Compound: Mn2BeP
Radiation: λ = 1.5418 Å (Cu Kα)
Structure: a crystal structure in Alexandria, relaxed with GGA-PBE
Neutral-atom scattering factors, no anomalous dispersion.

Largest 8 diffraction maxima, by intensity, 2θ from 10° to 90°:
| 2θ (°) | d_spacing | I_rel |
| --- | --- | --- |
| 42.53 | 2.125 | 100.0 |
| 33.53 | 2.673 | 56.4 |
| 54.05 | 1.697 | 34.2 |
| 47.27 | 1.923 | 32.3 |
| 50.64 | 1.803 | 27.9 |
| 45.55 | 1.992 | 27.7 |
| 71.78 | 1.315 | 16.9 |
| 34.07 | 2.631 | 14.8 |

abc: 3.6052 2.7879 7.9662
angles: 90.00 90.00 90.00
Space group Amm2 (No. 38)
Inequivalent atoms, fractional coordinates:
Mn 0.0000 0.0000 0.0000 x2
Mn 0.5000 0.0000 0.2790 x2
Be 0.0000 0.0000 0.7263 x2
P 0.5000 0.0000 0.5572 x2